[1]
Diffraction record for Y2Se3. The PXRD pattern is theoretical, not measured: it uses a DFT-relaxed cell (GGA-PBE, the Materials Project) and CuKα.

Structural model:
Unit cell a=8.2666 b=11.5861 c=24.6407 alpha=90.00 beta=90.00 gamma=90.00
Space group Fddd (No. 70, origin choice 2)
Inequivalent atoms, fractional coordinates:
Y  0.1250  0.1250  0.0414 (multiplicity 16)
Y  0.1250  0.1250  0.3774 (multiplicity 16)
Se  0.1169  0.3720  0.2061 (multiplicity 32)
Se  0.1166  0.3750  0.3750 (multiplicity 16)

Principal peaks in the range 2θ = 10–90°, in order of falling intensity:
two_theta	I (rel.)	index
30.7	100	2 0 6
44.1	90	2 4 6
30.9	50	0 4 0
13.6	32	1 1 1
54.5	19	4 4 0
54.8	19	0 4 12
43.8	18	4 0 0
81.1	17	4 8 0
72.7	16	4 4 12
72.9	16	2 8 6

---

[2]
Diffraction record for Y2ZnSe4. The PXRD pattern is theoretical, not measured: it uses a DFT-relaxed cell (GGA-PBE, the Materials Project) and CuKα.

Structural model:
Unit cell a=11.5575 b=11.5575 c=11.5575 alpha=90.00 beta=90.00 gamma=90.00
Space group Fd-3m (No. 227, origin choice 2)
Inequivalent atoms, fractional coordinates:
Y  0.0000  0.0000  0.0000 (multiplicity 16)
Zn  0.1250  0.1250  0.6250 (multiplicity 8)
Se  0.0018  0.0018  0.2482 (multiplicity 32)

Principal peaks in the range 2θ = 10–90°, in order of falling intensity:
two_theta	I (rel.)	index
44.3	100	4 4 0
30.9	77	4 0 0
25.6	54	3 1 1
81.6	32	8 4 4
73.3	25	8 4 0
40.6	23	5 1 1
55.0	19	4 4 4
64.5	16	8 0 0
26.7	15	2 2 2
61.6	12	5 5 3

---

[3]
Diffraction record for ZnSe2. The PXRD pattern is theoretical, not measured: it uses a DFT-relaxed cell (GGA-PBE, the Materials Project) and CuKα.

Structural model:
Unit cell a=6.3741 b=6.3741 c=6.3741 alpha=90.00 beta=90.00 gamma=90.00
Space group Pa-3 (No. 205)
Inequivalent atoms, fractional coordinates:
Zn  0.0000  0.0000  0.0000 (multiplicity 4)
Se  0.1085  0.6085  0.8915 (multiplicity 8)

Principal peaks in the range 2θ = 10–90°, in order of falling intensity:
two_theta	I (rel.)	index
31.4	100	2 1 0
34.5	93	2 1 1
47.3	86	3 1 1
28.0	76	2 0 0
53.8	60	3 2 1
51.7	47	3 0 2
77.9	42	5 1 1
40.0	32	2 2 0
86.3	23	4 4 0
81.3	23	4 2 3

---

[4]
Diffraction record for ZrSe. The PXRD pattern is theoretical, not measured: it uses a DFT-relaxed cell (GGA-PBE, the Materials Project) and CuKα.

Structural model:
Unit cell a=3.5681 b=3.5681 c=3.6798 alpha=90.00 beta=90.00 gamma=120.00
Space group P-6m2 (No. 187)
Inequivalent atoms, fractional coordinates:
Zr  0.0000  0.0000  0.0000 (multiplicity 1)
Se  0.3333  0.6667  0.5000 (multiplicity 1)

Principal peaks in the range 2θ = 10–90°, in order of falling intensity:
two_theta	I (rel.)	index
38.0	100	1 0 1
28.9	36	1 0 0
51.2	28	1 1 0
65.5	19	2 0 1
74.0	18	1 1 2
87.7	18	2 1 1
49.5	10	0 0 2
85.1	9	1 0 3
58.4	9	1 0 2
59.9	4	2 0 0

---

[5]
Diffraction record for ZrSe2. The PXRD pattern is theoretical, not measured: it uses a DFT-relaxed cell (GGA-PBE, the Materials Project) and CuKα.

Structural model:
Unit cell a=3.8047 b=3.8047 c=6.6869 alpha=90.00 beta=90.00 gamma=120.00
Space group P-3m1 (No. 164)
Inequivalent atoms, fractional coordinates:
Zr  0.0000  0.0000  0.0000 (multiplicity 1)
Se  0.3333  0.6667  0.2382 (multiplicity 2)

Principal peaks in the range 2θ = 10–90°, in order of falling intensity:
two_theta	I (rel.)	index
30.2	100	0 1 1
38.4	59	0 1 2
13.2	51	0 0 1
47.8	33	1 1 0
49.4	28	1 0 3
75.7	15	1 1 4
57.6	15	2 0 1
62.9	13	2 0 2
78.1	13	1 2 1
82.7	12	1 2 2

---

[6]
Diffraction record for ZrSe. The PXRD pattern is theoretical, not measured: it uses a DFT-relaxed cell (GGA-PBE, the Materials Project) and CuKα.

Structural model:
Unit cell a=5.1896 b=6.6447 c=6.6934 alpha=81.78 beta=67.64 gamma=68.45
Space group P-1 (No. 2)
Inequivalent atoms, fractional coordinates:
Zr  0.0808  0.0805  0.2591 (multiplicity 2)
Zr  0.3356  0.2400  0.5787 (multiplicity 2)
Se  0.2328  0.6616  0.3759 (multiplicity 2)
Se  0.3907  0.8750  0.8397 (multiplicity 2)

Principal peaks in the range 2θ = 10–90°, in order of falling intensity:
two_theta	I (rel.)	index
14.3	100	0 1 0
34.6	65	2 1 1
32.3	61	0 1 2
32.4	61	0 2 -1
47.6	38	2 -1 2
46.4	20	0 3 1
46.5	18	0 1 -3
48.5	17	2 2 3
48.6	17	2 3 0
41.1	17	1 0 3

---

What is the formula in the third record? ZnSe2